Diffraction record for PrAl5AgPd. The powder diffraction line list is theoretical, not measured: it uses DFT lattice parameters and positions (PBE) and a wavelength of 1.5418 Å.

Peak list (12 most intense, 15° ≤ 2θ ≤ 90°, most intense first)
| index | 2theta | I (rel.) |
| --- | --- | --- |
| 1 1 2 | 30.68 | 100 |
| 0 2 0 | 24.21 | 42 |
| 1 3 2 | 46.82 | 39 |
| 0 2 4 | 43.85 | 36 |
| 1 2 1 | 33.91 | 35 |
| 2 2 4 | 63.88 | 23 |
| 1 0 3 | 34.67 | 23 |
| 2 0 0 | 44.02 | 21 |
| 1 1 6 | 61.42 | 16 |
| 2 2 0 | 50.86 | 16 |
| 0 1 3 | 29.47 | 13 |
| 0 0 4 | 35.99 | 13 |

Atomic structure:
```
data_PrAl5AgPd
_chemical_formula_sum 'Pr2 Al10 Ag2 Pd2'
_cell_length_a 4.1140
_cell_length_b 7.3532
_cell_length_c 9.9818
_cell_angle_alpha 90.00
_cell_angle_beta 90.00
_cell_angle_gamma 90.00
_space_group_name_H-M_alt 'I m m 2'
_space_group_IT_number 44
_space_group_name_Hall 'I 2 -2'
loop_
_atom_site_label
_atom_site_type_symbol
_atom_site_fract_x
_atom_site_fract_y
_atom_site_fract_z
_atom_site_occupancy
Pr1 Pr 0.0000 0.0000 0.0000 1
Al1 Al 0.0000 0.1823 0.3521 1
Al2 Al 0.0000 0.1936 0.6403 1
Al3 Al 0.0000 0.5000 0.9980 1
Ag1 Ag 0.0000 0.5000 0.2502 1
Pd1 Pd 0.0000 0.5000 0.7539 1
```


Diffraction record for CsSmGe. The powder diffraction line list is theoretical, not measured: it uses DFT lattice parameters and positions (PBE) and a wavelength of 1.5418 Å.

Peak list (12 most intense, 15° ≤ 2θ ≤ 90°, most intense first)
| index | 2theta | I (rel.) |
| --- | --- | --- |
| 2 2 0 | 32.89 | 100 |
| 2 0 0 | 23.10 | 41 |
| 4 2 2 | 58.73 | 38 |
| 4 0 0 | 47.20 | 18 |
| 4 2 0 | 53.19 | 17 |
| 6 2 0 | 78.55 | 16 |
| 2 2 2 | 40.58 | 12 |
| 4 4 0 | 68.98 | 12 |
| 1 1 1 | 19.97 | 11 |
| 6 0 0 | 73.82 | 8 |
| 3 1 1 | 38.78 | 6 |
| 6 2 2 | 83.21 | 5 |

Atomic structure:
```
data_CsSmGe
_chemical_formula_sum 'Cs4 Sm4 Ge4'
_cell_length_a 7.7018
_cell_length_b 7.7018
_cell_length_c 7.7018
_cell_angle_alpha 90.00
_cell_angle_beta 90.00
_cell_angle_gamma 90.00
_space_group_name_H-M_alt 'F -4 3 m'
_space_group_IT_number 216
_space_group_name_Hall 'F -4 2 3'
loop_
_atom_site_label
_atom_site_type_symbol
_atom_site_fract_x
_atom_site_fract_y
_atom_site_fract_z
_atom_site_occupancy
Cs1 Cs 0.0000 0.0000 0.0000 1
Sm1 Sm 0.0000 0.0000 0.5000 1
Ge1 Ge 0.2500 0.2500 0.2500 1
```


Diffraction record for H13PtC3N3Cl2O. The powder diffraction line list is theoretical, not measured: it uses DFT lattice parameters and positions (PBE) and a wavelength of 1.5418 Å.

Peak list (12 most intense, 15° ≤ 2θ ≤ 90°, most intense first)
| index | 2theta | I (rel.) |
| --- | --- | --- |
| 1 0 -1 | 15.67 | 100 |
| 0 0 2 | 16.24 | 95 |
| 1 0 1 | 17.71 | 81 |
| 0 2 -2 | 28.20 | 72 |
| 0 2 0 | 28.00 | 63 |
| 0 2 -1 | 26.86 | 39 |
| 2 0 1 | 31.72 | 33 |
| 1 0 -3 | 26.72 | 32 |
| 1 -2 1 | 28.84 | 27 |
| 1 0 2 | 23.42 | 25 |
| 1 0 -4 | 34.05 | 25 |
| -2 1 3 | 39.22 | 23 |

Atomic structure:
```
data_H13PtC3N3Cl2O
_chemical_formula_sum 'H26 Pt2 C6 N6 Cl4 O2'
_cell_length_a 6.1902
_cell_length_b 6.7051
_cell_length_c 11.4253
_cell_angle_alpha 105.16
_cell_angle_beta 95.70
_cell_angle_gamma 98.07
_space_group_name_H-M_alt 'P -1'
_space_group_IT_number 2
_space_group_name_Hall '-P 1'
loop_
_atom_site_label
_atom_site_type_symbol
_atom_site_fract_x
_atom_site_fract_y
_atom_site_fract_z
_atom_site_occupancy
H1 H 0.0349 0.2966 0.3368 1
H2 H 0.0514 0.6585 0.3095 1
H3 H 0.0628 0.0476 0.3560 1
H4 H 0.1506 0.2988 0.9342 1
H5 H 0.1710 0.0475 0.8836 1
H6 H 0.2639 0.2189 0.8075 1
H7 H 0.2638 0.2694 0.4390 1
H8 H 0.3094 0.4187 0.1461 1
H9 H 0.3249 0.6695 0.5751 1
H10 H 0.3407 0.9383 0.5781 1
H11 H 0.3497 0.7458 0.4373 1
H12 H 0.3876 0.2104 0.1826 1
H13 H 0.4395 0.5553 0.7784 1
Pt1 Pt 0.4412 0.7532 0.0092 1
C1 C 0.0627 0.3133 0.6217 1
C2 C 0.0882 0.2157 0.4038 1
C3 C 0.2768 0.7761 0.5226 1
N1 N 0.0378 0.7442 0.4944 1
N2 N 0.2498 0.1984 0.8930 1
N3 N 0.4401 0.3422 0.1551 1
Cl1 Cl 0.0922 0.7004 0.8978 1
Cl2 Cl 0.3131 0.8654 0.1959 1
O1 O 0.2665 0.3323 0.6527 1
```